[1]
Computed X-ray diffraction stick pattern of MgNi5N4 for Cu Kα (λ = 1.5418 Å), from the PBE geometry in the Materials Project.
Kinematic intensities with the Lorentz-polarization factor, no thermal factor.

a b c (Å): 6.010 7.760 4.349
angles (deg): 90.00 90.00 90.00
Space group Pmmn (No. 59, origin choice 2)
Inequivalent atoms, fractional coordinates:
Mg  0.250  0.250  0.171
Ni  0.031  0.582  0.235
Ni  0.250  0.750  0.817
N  0.010  0.750  0.525
N  0.250  0.506  0.936

Peak list (12 most intense, 10° ≤ 2θ ≤ 90°, low angle first)
- 2θ 18.67, intensity 28, (1 1 0)
- 2θ 29.73, intensity 23, (2 0 0)
- 2θ 37.87, intensity 28, (2 2 0)
- 2θ 38.21, intensity 78, (2 1 1)
- 2θ 40.58, intensity 100, (0 3 1)
- 2θ 41.53, intensity 29, (0 0 2)
- 2θ 50.14, intensity 16, (3 0 1)
- 2θ 51.11, intensity 22, (2 3 1)
- 2θ 56.46, intensity 12, (2 4 0)
- 2θ 57.45, intensity 27, (2 2 2)
- 2θ 61.74, intensity 13, (4 0 0)
- 2θ 76.53, intensity 16, (4 3 1)

=====

[2]
Computed X-ray diffraction stick pattern of VN for Cu Kα (λ = 1.5418 Å), from the PBE geometry in the Materials Project.
Kinematic intensities with the Lorentz-polarization factor, no thermal factor.

a b c (Å): 2.7543 2.7543 5.3097
angles (deg): 90.00 90.00 120.00
Space group P6_3/mmc (No. 194)
Inequivalent atoms, fractional coordinates:
V  0.0000  0.0000  0.0000
N  0.3333  0.6667  0.2500

Peak list (11 most intense, 10° ≤ 2θ ≤ 90°, low angle first)
- 2θ 33.76, intensity 26, (0 0 2)
- 2θ 37.71, intensity 81, (1 0 0)
- 2θ 41.50, intensity 8, (1 0 1)
- 2θ 51.50, intensity 100, (1 0 2)
- 2θ 65.69, intensity 1, (1 0 3)
- 2θ 68.08, intensity 23, (1 1 0)
- 2θ 71.01, intensity 7, (0 0 4)
- 2θ 78.19, intensity 13, (1 1 2)
- 2θ 80.54, intensity 8, (2 0 0)
- 2θ 82.98, intensity 1, (2 0 1)
- 2θ 83.31, intensity 14, (1 0 4)